Rb2TeW3O12: computed powder diffraction line list (copper Kα), based on a cell relaxed with PBE+U.
Lines closer than 0.1° are merged.

Cell and atoms:
abc: 7.420 7.420 12.476
angles: 90.00 90.00 120.00
Sites, in units of the cell vectors:
Rb 0.333 0.667 0.000
Rb 0.333 0.667 0.383
Rb 0.667 0.333 0.500
Rb 0.667 0.333 0.883
Te 0.000 0.000 0.433
Te 0.000 0.000 0.933
W 0.169 0.338 0.672
W 0.169 0.831 0.672
W 0.338 0.169 0.172
W 0.662 0.831 0.672
W 0.831 0.169 0.172
W 0.831 0.662 0.172
O 0.088 0.544 0.635
O 0.124 0.248 0.183
O 0.124 0.876 0.183
O 0.131 0.263 0.506
O 0.131 0.869 0.506
O 0.194 0.388 0.813
O 0.194 0.806 0.813
O 0.248 0.124 0.683
O 0.263 0.131 0.006
O 0.388 0.194 0.313
O 0.456 0.544 0.635
O 0.456 0.912 0.635
O 0.544 0.088 0.135
O 0.544 0.456 0.135
O 0.612 0.806 0.813
O 0.737 0.869 0.506
O 0.752 0.876 0.183
O 0.806 0.194 0.313
O 0.806 0.612 0.313
O 0.869 0.131 0.006
O 0.869 0.737 0.006
O 0.876 0.124 0.683
O 0.876 0.752 0.683
O 0.912 0.456 0.135

Peak list (6 most intense, 2θ from 5° to 70°, in order of rising 2θ)
- hkl 0 0 2, 14.20°, intensity 317
- hkl 1 0 3, 25.51°, intensity 275
- hkl 1 1 2, 27.98°, intensity 566
- hkl 0 0 4, 28.68°, intensity 1000
- hkl 2 2 0, 49.11°, intensity 266
- hkl 2 2 4, 57.85°, intensity 293